1.
Diffraction record for La5SmDy2. The XRD peak list is simulated, not measured: it uses a cell relaxed with PBE and CuKα.
Peak positions follow from Bragg's law for the DFT cell and can differ from measured ones.

Cell and atoms:
```
La5SmDy2
1.0
8.4578 -5.1046 0.0000
8.4578 5.1046 0.0000
-1.3648 0.0000 6.6206
La Sm Dy
10 2 4
Direct
0.0615 0.9385 0.7500
0.1214 0.2915 0.0270
0.2915 0.1214 0.5270
0.3129 0.5029 0.8459
0.4971 0.6871 0.6541
0.5029 0.3129 0.3459
0.6871 0.4971 0.1541
0.7085 0.8786 0.4730
0.8786 0.7085 0.9730
0.9385 0.0615 0.2500
0.0000 0.5000 0.5000
0.5000 0.0000 0.0000
0.1745 0.6594 0.3492
0.3406 0.8255 0.1508
0.6594 0.1745 0.8492
0.8255 0.3406 0.6508
```

Most intense lines, 2θ = 10–90°, by angle:
d (Å), Rel. int.
3.152, 33
3.088, 39
2.994, 28
2.930, 100
2.881, 63
2.345, 15
2.159, 14
2.057, 12
1.672, 18
1.465, 15


2.
Diffraction record for La4Sm2Dy5. The XRD peak list is simulated, not measured: it uses a cell relaxed with PBE and CuKα.
Peak positions follow from Bragg's law for the DFT cell and can differ from measured ones.

Cell and atoms:
```
La4Sm2Dy5
1.0
8.9298 -1.7791 0.0000
8.9298 1.7791 0.0000
-0.9323 0.0000 11.7782
La Sm Dy
4 2 5
Direct
0.0368 0.0368 0.2610
0.3591 0.3591 0.2032
0.6409 0.6409 0.7968
0.9632 0.9632 0.7390
0.2854 0.2854 0.6449
0.7146 0.7146 0.3551
0.0968 0.0968 0.5403
0.1780 0.1780 0.0693
0.5000 0.5000 0.0000
0.8220 0.8220 0.9307
0.9032 0.9032 0.4597
```

Most intense lines, 2θ = 10–90°, by angle:
d (Å), Rel. int.
3.022, 33
2.982, 23
2.930, 100
2.864, 59
2.835, 57
2.756, 42
2.666, 26
2.434, 18
1.521, 20
1.507, 26


3.
Diffraction record for La3SmDy4. The XRD peak list is simulated, not measured: it uses a cell relaxed with PBE and CuKα.
Peak positions follow from Bragg's law for the DFT cell and can differ from measured ones.

Cell and atoms:
```
La3SmDy4
1.0
11.6784 0.0000 0.0000
0.0000 7.3463 0.0000
0.0000 0.0000 6.3595
La Sm Dy
6 2 8
Direct
0.0000 0.1282 0.0000
0.2497 0.1253 0.3308
0.2503 0.8747 0.8308
0.5000 0.8718 0.5000
0.7503 0.1253 0.3308
0.7497 0.8747 0.8308
0.0000 0.8694 0.4993
0.5000 0.1306 0.9993
0.0000 0.3793 0.4993
0.0000 0.6223 0.0010
0.2490 0.6206 0.3318
0.2510 0.3794 0.8318
0.5000 0.3777 0.5010
0.5000 0.6207 0.9993
0.7490 0.3794 0.8318
0.7510 0.6206 0.3318
```

Most intense lines, 2θ = 10–90°, by angle:
d (Å), Rel. int.
3.180, 24
2.920, 25
2.793, 100
2.151, 16
1.836, 20
1.660, 21
1.554, 23
1.534, 16
1.177, 14
1.143, 8


4.
Diffraction record for La6Sm2Dy. The XRD peak list is simulated, not measured: it uses a cell relaxed with PBE and CuKα.
Peak positions follow from Bragg's law for the DFT cell and can differ from measured ones.

Cell and atoms:
```
La6Sm2Dy
1.0
3.6746 0.0000 0.0000
-1.8373 3.1823 0.0000
0.0000 0.0000 27.6713
La Sm Dy
6 2 1
Direct
0.0000 0.0000 0.0633
0.0000 0.0000 0.2798
0.0000 0.0000 0.7202
0.0000 0.0000 0.9367
0.3333 0.6667 0.3944
0.3333 0.6667 0.6056
0.3333 0.6667 0.1698
0.3333 0.6667 0.8302
0.0000 0.0000 0.5000
```

Most intense lines, 2θ = 10–90°, by angle:
d (Å), Rel. int.
3.182, 47
3.075, 52
2.891, 68
2.759, 100
2.211, 32
1.837, 38
1.679, 31
1.577, 43
1.529, 18
1.175, 14


5.
Diffraction record for LaSm12Dy5. The XRD peak list is simulated, not measured: it uses a cell relaxed with PBE and CuKα.
Peak positions follow from Bragg's law for the DFT cell and can differ from measured ones.

Cell and atoms:
```
LaSm12Dy5
1.0
7.6613 -7.6661 0.0000
7.6613 7.6661 0.0000
0.0000 0.0000 5.1076
La Sm Dy
1 12 5
Direct
0.0000 0.0000 0.0000
0.0009 0.3347 0.0000
0.1680 0.8320 0.5000
0.1687 0.4989 0.5000
0.3347 0.0009 0.0000
0.3348 0.6652 0.0000
0.4989 0.1687 0.5000
0.5011 0.8313 0.5000
0.6652 0.3348 0.0000
0.6653 0.9991 0.0000
0.8313 0.5011 0.5000
0.8320 0.1680 0.5000
0.9991 0.6653 0.0000
0.1687 0.1687 0.5000
0.3334 0.3334 0.0000
0.5000 0.5000 0.5000
0.6666 0.6666 0.0000
0.8313 0.8313 0.5000
```

Most intense lines, 2θ = 10–90°, by angle:
d (Å), Rel. int.
2.949, 100
2.554, 51
1.806, 36
1.540, 43
1.475, 12
1.277, 6
1.172, 18
1.142, 16


6.
Diffraction record for LaSm8Dy3. The XRD peak list is simulated, not measured: it uses a cell relaxed with PBE and CuKα.
Peak positions follow from Bragg's law for the DFT cell and can differ from measured ones.

Cell and atoms:
```
LaSm8Dy3
1.0
-3.2679 5.7237 5.7978
3.2679 -5.7237 5.7978
3.2679 5.7237 -5.7978
La Sm Dy
1 8 3
Direct
0.0000 0.0000 0.0000
0.0835 0.2519 0.8323
0.2616 0.2399 0.5025
0.2626 0.7601 0.0217
0.4196 0.2512 0.1677
0.5804 0.7481 0.8316
0.7374 0.7591 0.4975
0.7384 0.2409 0.9782
0.9165 0.7488 0.1684
0.2647 0.7647 0.5000
0.5000 0.5000 0.0000
0.7353 0.2353 0.5000
```

Most intense lines, 2θ = 10–90°, by angle:
d (Å), Rel. int.
4.061, 21
2.899, 49
2.865, 100
2.847, 43
2.838, 23
2.549, 33
2.028, 19
1.799, 21
1.648, 18
1.432, 22


7.
Diffraction record for LaSm8Dy6. The XRD peak list is simulated, not measured: it uses a cell relaxed with PBE and CuKα.
Peak positions follow from Bragg's law for the DFT cell and can differ from measured ones.

Cell and atoms:
```
LaSm8Dy6
1.0
4.5565 2.6307 6.9772
-4.5565 2.6307 6.9772
0.0000 -5.2614 6.9772
La Sm Dy
1 8 6
Direct
0.0000 0.0000 0.0000
0.1130 0.7490 0.7175
0.2510 0.2825 0.8870
0.2825 0.8870 0.2510
0.4225 0.4225 0.4225
0.5775 0.5775 0.5775
0.7175 0.1130 0.7490
0.7490 0.7175 0.1130
0.8870 0.2510 0.2825
0.0985 0.2458 0.5348
0.2458 0.5348 0.0985
0.4652 0.9015 0.7542
0.5348 0.0985 0.2458
0.7542 0.4652 0.9015
0.9015 0.7542 0.4652
```

Most intense lines, 2θ = 10–90°, by angle:
d (Å), Rel. int.
2.953, 27
2.870, 100
2.796, 31
2.770, 12
2.591, 12
2.462, 13
1.743, 12
1.722, 7
1.672, 10
1.549, 8


8.
Diffraction record for La9Sm4Dy. The XRD peak list is simulated, not measured: it uses a cell relaxed with PBE and CuKα.
Peak positions follow from Bragg's law for the DFT cell and can differ from measured ones.

Cell and atoms:
```
La9Sm4Dy
1.0
10.0666 0.0000 0.0000
-5.0333 8.7180 0.0000
0.0000 0.0000 11.6360
La Sm Dy
18 8 2
Direct
0.0795 0.5398 0.2500
0.2072 0.4143 0.5301
0.2072 0.4143 0.9699
0.2072 0.7928 0.5301
0.2072 0.7928 0.9699
0.4143 0.2072 0.0301
0.4143 0.2072 0.4699
0.4602 0.5398 0.2500
0.4602 0.9205 0.2500
0.5398 0.0795 0.7500
0.5398 0.4602 0.7500
0.5857 0.7928 0.5301
0.5857 0.7928 0.9699
0.7928 0.2072 0.0301
0.7928 0.2072 0.4699
0.7928 0.5857 0.0301
0.7928 0.5857 0.4699
0.9205 0.4602 0.7500
0.0000 0.0000 0.0000
0.0000 0.0000 0.5000
0.1118 0.2236 0.2500
0.1118 0.8882 0.2500
0.2236 0.1118 0.7500
0.7764 0.8882 0.2500
0.8882 0.1118 0.7500
0.8882 0.7764 0.7500
0.3333 0.6667 0.7500
0.6667 0.3333 0.2500
```

Most intense lines, 2θ = 10–90°, by angle:
d (Å), Rel. int.
2.908, 38
2.898, 25
2.867, 100
2.819, 38
2.517, 13
1.903, 11
1.817, 23
1.678, 18
1.671, 31
1.453, 19


9.
Diffraction record for La8SmDy3. The XRD peak list is simulated, not measured: it uses a cell relaxed with PBE and CuKα.
Peak positions follow from Bragg's law for the DFT cell and can differ from measured ones.

Cell and atoms:
```
La8SmDy3
1.0
-3.4360 5.6040 5.8707
3.4360 -5.6040 5.8707
3.4360 5.6040 -5.8707
La Sm Dy
8 1 3
Direct
0.0847 0.2481 0.8366
0.2750 0.2215 0.4965
0.2750 0.7785 0.0535
0.4116 0.2481 0.1634
0.5884 0.7519 0.8366
0.7250 0.2215 0.9465
0.7250 0.7785 0.5035
0.9153 0.7519 0.1634
0.5000 0.5000 0.0000
0.0000 0.0000 0.0000
0.2664 0.7664 0.5000
0.7336 0.2336 0.5000
```

Most intense lines, 2θ = 10–90°, by angle:
d (Å), Rel. int.
4.147, 18
2.965, 42
2.933, 79
2.865, 100
2.622, 33
2.529, 14
2.073, 19
1.853, 25
1.681, 19
1.432, 17


10.
Diffraction record for La5Sm8Dy. The XRD peak list is simulated, not measured: it uses a cell relaxed with PBE and CuKα.
Peak positions follow from Bragg's law for the DFT cell and can differ from measured ones.

Cell and atoms:
```
La5Sm8Dy
1.0
7.1997 0.0000 0.0000
-1.7827 8.6025 0.0000
-1.8138 -4.1910 7.8823
La Sm Dy
5 8 1
Direct
0.0000 0.0000 0.0000
0.0268 0.8319 0.2800
0.3897 0.4155 0.1411
0.6979 0.1179 0.7111
0.9073 0.2433 0.4164
0.1021 0.5611 0.8630
0.2043 0.1246 0.7115
0.3042 0.6795 0.5564
0.4156 0.2458 0.4206
0.5235 0.8348 0.2789
0.6029 0.5674 0.8618
0.8097 0.6856 0.5577
0.8821 0.4098 0.1371
0.4952 0.9983 0.9994
```

Most intense lines, 2θ = 10–90°, by angle:
d (Å), Rel. int.
3.037, 40
2.947, 54
2.924, 100
2.814, 46
2.779, 44
2.227, 16
1.800, 13
1.641, 13
1.536, 15
1.533, 15


11.
Diffraction record for La3Sm2Dy. The XRD peak list is simulated, not measured: it uses a cell relaxed with PBE and CuKα.
Peak positions follow from Bragg's law for the DFT cell and can differ from measured ones.

Cell and atoms:
```
La3Sm2Dy
1.0
6.3866 0.0000 0.0000
-3.1933 5.5310 0.0000
0.0000 0.0000 11.9448
La Sm Dy
6 4 2
Direct
0.0000 0.3322 0.2500
0.0000 0.6678 0.7500
0.3322 0.0000 0.2500
0.3322 0.3322 0.7500
0.6678 0.0000 0.7500
0.6678 0.6678 0.2500
0.3333 0.6667 0.0000
0.3333 0.6667 0.5000
0.6667 0.3333 0.0000
0.6667 0.3333 0.5000
0.0000 0.0000 0.0000
0.0000 0.0000 0.5000
```

Most intense lines, 2θ = 10–90°, by angle:
d (Å), Rel. int.
3.085, 37
2.986, 33
2.816, 100
2.491, 20
1.844, 25
1.689, 22
1.569, 29
1.542, 16
1.183, 14
1.160, 11


12.
Diffraction record for La7Sm3Dy. The XRD peak list is simulated, not measured: it uses a cell relaxed with PBE and CuKα.
Peak positions follow from Bragg's law for the DFT cell and can differ from measured ones.

Cell and atoms:
```
La7Sm3Dy
1.0
7.3112 0.0000 0.0000
-3.6556 6.3317 0.0000
0.0000 0.0000 8.7895
La Sm Dy
7 3 1
Direct
0.0000 0.0000 0.0000
0.0019 0.5010 0.0217
0.1680 0.3360 0.6700
0.1680 0.8320 0.6700
0.4990 0.5010 0.0217
0.4990 0.9981 0.0217
0.6640 0.8320 0.6700
0.3339 0.1669 0.3465
0.8331 0.1669 0.3465
0.8331 0.6661 0.3465
0.6667 0.3333 0.6862
```

Most intense lines, 2θ = 10–90°, by angle:
d (Å), Rel. int.
2.979, 100
2.930, 31
2.569, 66
1.828, 24
1.805, 23
1.558, 14
1.551, 28
1.537, 13
1.489, 12
1.186, 12